Record 1
Simulated powder XRD pattern
Compound: Pr2Dy2In3
Radiation: a wavelength of 1.5418 Å
Structure: the GGA-PBE geometry in Alexandria

Most intense lines, 10 to 80 degrees two-theta, in order of rising 2θ:
two_theta	Rel. int.
31.74	100
32.10	84
33.52	28
33.74	17
38.54	33
38.80	29
51.99	16
55.84	20
62.32	28
65.67	22

Atomic structure:
```
Pr2Dy2In3
1.0
4.6724 0.0000 0.0000
0.0000 24.7507 0.0000
0.0000 0.0000 3.5097
Pr Dy In
4 4 6
direct
0.0000 0.0722 0.0000
0.0000 0.9278 0.0000
0.5000 0.4278 0.0000
0.5000 0.5722 0.0000
0.0000 0.2042 0.0000
0.0000 0.7958 0.0000
0.5000 0.2958 0.0000
0.5000 0.7042 0.0000
0.0000 0.3490 0.5000
0.0000 0.5000 0.5000
0.0000 0.6510 0.5000
0.5000 0.0000 0.5000
0.5000 0.1510 0.5000
0.5000 0.8490 0.5000
```

***

Record 2
Simulated powder XRD pattern
Compound: SrGa4Ni4
Radiation: a wavelength of 1.5418 Å
Structure: the GGA-PBE geometry in Alexandria

Most intense lines, 10 to 80 degrees two-theta, in order of rising 2θ:
two_theta	Rel. int.
30.34	16
35.28	40
36.33	100
44.33	35
44.79	45
45.47	25
49.49	12
57.88	23
64.49	19
74.08	17

Atomic structure:
```
SrGa4Ni4
1.0
5.7799 0.0000 0.0000
0.0000 5.7799 0.0000
0.0000 0.0000 8.5009
Sr Ga Ni
2 8 8
direct
0.2500 0.7500 0.2500
0.7500 0.2500 0.7500
0.0336 0.2500 0.0626
0.2500 0.0336 0.5626
0.2500 0.4664 0.5626
0.4664 0.2500 0.0626
0.5336 0.7500 0.9374
0.7500 0.5336 0.4374
0.7500 0.9664 0.4374
0.9664 0.7500 0.9374
0.0268 0.2500 0.3507
0.2500 0.0268 0.8507
0.2500 0.4732 0.8507
0.4732 0.2500 0.3507
0.5268 0.7500 0.6493
0.7500 0.5268 0.1493
0.7500 0.9732 0.1493
0.9732 0.7500 0.6493
```

***

Record 3
Simulated powder XRD pattern
Compound: KZr4Ta
Radiation: a wavelength of 1.5418 Å
Structure: the GGA-PBE geometry in Alexandria

Most intense lines, 10 to 80 degrees two-theta, in order of rising 2θ:
two_theta	Rel. int.
18.22	18
21.07	10
29.97	30
35.30	100
36.92	37
53.21	12
56.71	33
62.27	25
73.65	11
74.65	13

Atomic structure:
```
KZr4Ta
1.0
0.0000 4.2169 4.2169
4.2169 0.0000 4.2169
4.2169 4.2169 0.0000
K Zr Ta
1 4 1
direct
0.0000 0.0000 0.0000
0.3792 0.3792 0.3792
0.3792 0.3792 0.8623
0.3792 0.8623 0.3792
0.8623 0.3792 0.3792
0.7500 0.7500 0.7500
```